[1]
# Li3CaMg
Computed X-ray powder pattern, copper Kα. Input: a DFT-relaxed cell (PBE, Alexandria).

Largest 10 diffraction maxima, in order of rising 2θ, 2θ = 5–70°:
12.50°, 7.080 Å, I 100; 19.70°, 4.506 Å, I 61; 21.86°, 4.066 Å, I 32; 28.28°, 3.156 Å, I 85; 28.91°, 3.089 Å, I 42; 31.61°, 2.831 Å, I 32; 34.55°, 2.596 Å, I 88; 34.85°, 2.574 Å, I 63; 35.23°, 2.548 Å, I 63; 40.02°, 2.253 Å, I 30

Structural model:
Lattice parameters (Å, degrees): 7.7239 7.7239 5.8426 90.00 90.00 132.86
Atoms (fractional coordinates):
Li (0.0703, 0.3904, 0.7500)
Li (0.1842, 0.8158, 0.7500)
Li (0.3904, 0.0703, 0.2500)
Li (0.6096, 0.9297, 0.7500)
Li (0.8158, 0.1842, 0.2500)
Li (0.9297, 0.6096, 0.2500)
Ca (0.4090, 0.5910, 0.2500)
Ca (0.5910, 0.4090, 0.7500)
Mg (0.0000, 0.0000, 0.0000)
Mg (0.0000, 0.0000, 0.5000)

[2]
# LiCa4Mg2
Computed X-ray powder pattern, copper Kα. Input: a DFT-relaxed cell (PBE, Alexandria).

Largest 10 diffraction maxima, in order of rising 2θ, 2θ = 5–70°:
24.92°, 3.574 Å, I 24; 26.46°, 3.369 Å, I 22; 27.40°, 3.255 Å, I 29; 29.58°, 3.020 Å, I 100; 30.08°, 2.971 Å, I 23; 30.52°, 2.929 Å, I 50; 30.94°, 2.891 Å, I 27; 33.06°, 2.709 Å, I 22; 33.97°, 2.639 Å, I 55; 50.74°, 1.799 Å, I 24

Structural model:
Lattice parameters (Å, degrees): 7.8805 7.8805 8.9168 110.19 110.19 27.93
Atoms (fractional coordinates):
Li (0.0000, 0.0000, 0.0000)
Ca (0.0965, 0.0965, 0.6991)
Ca (0.3585, 0.3585, 0.6455)
Ca (0.6415, 0.6415, 0.3545)
Ca (0.9035, 0.9035, 0.3009)
Mg (0.2124, 0.2124, 0.1041)
Mg (0.7876, 0.7876, 0.8959)

[3]
# Li12Ca16Mg
Computed X-ray powder pattern, copper Kα. Input: a DFT-relaxed cell (PBE, Alexandria).

Largest 10 diffraction maxima, in order of rising 2θ, 2θ = 5–70°:
17.64°, 5.029 Å, I 27; 17.81°, 4.981 Å, I 51; 29.33°, 3.045 Å, I 47; 29.62°, 3.016 Å, I 100; 30.62°, 2.920 Å, I 25; 30.82°, 2.901 Å, I 58; 31.48°, 2.842 Å, I 98; 31.64°, 2.828 Å, I 41; 33.29°, 2.692 Å, I 30; 54.20°, 1.692 Å, I 28

Structural model:
Lattice parameters (Å, degrees): 10.4688 10.4688 10.5811 107.42 107.42 107.21
Atoms (fractional coordinates):
Li (0.0000, 0.0000, 0.0000)
Li (0.1337, 0.5228, 0.9489)
Li (0.1395, 0.1395, 0.3344)
Li (0.1862, 0.9954, 0.8084)
Li (0.2881, 0.6590, 0.2858)
Li (0.3007, 0.4846, 0.4787)
Li (0.4787, 0.6584, 0.1033)
Li (0.4846, 0.3007, 0.4787)
Li (0.5228, 0.1337, 0.9489)
Li (0.6584, 0.4787, 0.1033)
Li (0.6590, 0.2881, 0.2858)
Li (0.9954, 0.1862, 0.8084)
Ca (0.0061, 0.6214, 0.4342)
Ca (0.3082, 0.3082, 0.1190)
Ca (0.3140, 0.9470, 0.1293)
Ca (0.3251, 0.9730, 0.5441)
Ca (0.3295, 0.7241, 0.7873)
Ca (0.3322, 0.3322, 0.7661)
Ca (0.6214, 0.0061, 0.4342)
Ca (0.6233, 0.6233, 0.4326)
Ca (0.6823, 0.9356, 0.7587)
Ca (0.7241, 0.3295, 0.7873)
Ca (0.7272, 0.9593, 0.1294)
Ca (0.9356, 0.6823, 0.7587)
Ca (0.9470, 0.3140, 0.1293)
Ca (0.9513, 0.9513, 0.4970)
Ca (0.9593, 0.7272, 0.1294)
Ca (0.9730, 0.3251, 0.5441)
Mg (0.6255, 0.6255, 0.8214)

[4]
# Li4Ca5Mg2
Computed X-ray powder pattern, copper Kα. Input: a DFT-relaxed cell (PBE, Alexandria).

Largest 10 diffraction maxima, in order of rising 2θ, 2θ = 5–70°:
20.04°, 4.431 Å, I 39; 20.54°, 4.324 Å, I 82; 22.85°, 3.892 Å, I 45; 24.64°, 3.613 Å, I 34; 30.57°, 2.924 Å, I 48; 30.90°, 2.894 Å, I 100; 31.60°, 2.832 Å, I 78; 32.54°, 2.752 Å, I 49; 33.39°, 2.684 Å, I 28; 33.87°, 2.646 Å, I 89

Structural model:
Lattice parameters (Å, degrees): 9.0962 19.6605 3.8920 90.00 90.00 90.00
Atoms (fractional coordinates):
Li (0.1300, 0.1581, 0.0000)
Li (0.2019, 0.4380, 0.0000)
Li (0.2981, 0.9380, 0.0000)
Li (0.3700, 0.6581, 0.0000)
Li (0.6300, 0.3419, 0.0000)
Li (0.7019, 0.0620, 0.0000)
Li (0.7981, 0.5620, 0.0000)
Li (0.8700, 0.8419, 0.0000)
Ca (0.0000, 0.0000, 0.5000)
Ca (0.1166, 0.5768, 0.5000)
Ca (0.1916, 0.8044, 0.5000)
Ca (0.3084, 0.3044, 0.5000)
Ca (0.3834, 0.0768, 0.5000)
Ca (0.5000, 0.5000, 0.5000)
Ca (0.6166, 0.9232, 0.5000)
Ca (0.6916, 0.6956, 0.5000)
Ca (0.8084, 0.1956, 0.5000)
Ca (0.8834, 0.4232, 0.5000)
Mg (0.0061, 0.3011, 0.0000)
Mg (0.4939, 0.8011, 0.0000)
Mg (0.5061, 0.1989, 0.0000)
Mg (0.9939, 0.6989, 0.0000)

[5]
# Li10Ca2Mg
Computed X-ray powder pattern, copper Kα. Input: a DFT-relaxed cell (PBE, Alexandria).

Largest 10 diffraction maxima, in order of rising 2θ, 2θ = 5–70°:
8.91°, 9.926 Å, I 100; 16.61°, 5.337 Å, I 14; 22.00°, 4.040 Å, I 17; 22.77°, 3.906 Å, I 17; 27.00°, 3.302 Å, I 26; 28.89°, 3.091 Å, I 11; 31.76°, 2.817 Å, I 20; 33.05°, 2.710 Å, I 13; 33.52°, 2.674 Å, I 18; 37.10°, 2.424 Å, I 15

Structural model:
Lattice parameters (Å, degrees): 6.3298 19.8520 6.1812 90.00 90.00 90.00
Atoms (fractional coordinates):
Li (0.0228, 0.2070, 0.0000)
Li (0.0819, 0.9416, 0.0000)
Li (0.0871, 0.3493, 0.0000)
Li (0.2493, 0.6007, 0.2613)
Li (0.2493, 0.6007, 0.7387)
Li (0.2507, 0.1007, 0.2613)
Li (0.2507, 0.1007, 0.7387)
Li (0.4129, 0.8493, 0.0000)
Li (0.4181, 0.4416, 0.0000)
Li (0.4772, 0.7070, 0.0000)
Li (0.5228, 0.2930, 0.0000)
Li (0.5819, 0.5584, 0.0000)
Li (0.5871, 0.1507, 0.0000)
Li (0.7493, 0.8993, 0.2613)
Li (0.7493, 0.8993, 0.7387)
Li (0.7507, 0.3993, 0.2613)
Li (0.7507, 0.3993, 0.7387)
Li (0.9129, 0.6507, 0.0000)
Li (0.9181, 0.0584, 0.0000)
Li (0.9772, 0.7930, 0.0000)
Ca (0.2456, 0.4368, 0.5000)
Ca (0.2544, 0.9368, 0.5000)
Ca (0.7456, 0.0632, 0.5000)
Ca (0.7544, 0.5632, 0.5000)
Mg (0.0000, 0.5000, 0.0000)
Mg (0.5000, 0.0000, 0.0000)

[6]
# LiCaMg
Computed X-ray powder pattern, copper Kα. Input: a DFT-relaxed cell (PBE, Alexandria).

Largest 10 diffraction maxima, in order of rising 2θ, 2θ = 5–70°:
17.53°, 5.058 Å, I 40; 29.01°, 3.078 Å, I 100; 33.87°, 2.647 Å, I 72; 34.11°, 2.629 Å, I 28; 34.30°, 2.614 Å, I 49; 50.97°, 1.792 Å, I 12; 51.42°, 1.777 Å, I 24; 54.60°, 1.681 Å, I 17; 55.09°, 1.667 Å, I 11; 60.12°, 1.539 Å, I 26

Structural model:
Lattice parameters (Å, degrees): 6.1574 6.1574 6.1574 120.03 119.20 90.67
Atoms (fractional coordinates):
Li (0.5000, 0.0000, 0.0000)
Li (0.5000, 0.5000, 0.5000)
Ca (0.1242, 0.3742, 0.7500)
Ca (0.8758, 0.6258, 0.2500)
Mg (0.0000, 0.0000, 0.0000)
Mg (0.5000, 0.0000, 0.5000)

[7]
# Li6Ca5Mg
Computed X-ray powder pattern, copper Kα. Input: a DFT-relaxed cell (PBE, Alexandria).

Largest 10 diffraction maxima, in order of rising 2θ, 2θ = 5–70°:
22.68°, 3.920 Å, I 81; 23.34°, 3.812 Å, I 40; 32.03°, 2.795 Å, I 28; 32.57°, 2.750 Å, I 24; 32.77°, 2.733 Å, I 100; 40.08°, 2.250 Å, I 11; 40.45°, 2.230 Å, I 16; 46.32°, 1.960 Å, I 17; 52.55°, 1.741 Å, I 12; 58.24°, 1.584 Å, I 14

Structural model:
Lattice parameters (Å, degrees): 9.5022 9.5022 5.5891 107.00 107.00 120.47
Atoms (fractional coordinates):
Li (0.0719, 0.3802, 0.7255)
Li (0.2090, 0.2090, 0.2091)
Li (0.3802, 0.0719, 0.7255)
Li (0.6198, 0.9281, 0.2745)
Li (0.7910, 0.7910, 0.7909)
Li (0.9281, 0.6198, 0.2745)
Ca (0.1793, 0.8207, 0.0000)
Ca (0.3383, 0.6617, 0.5000)
Ca (0.5000, 0.5000, 0.0000)
Ca (0.6617, 0.3383, 0.5000)
Ca (0.8207, 0.1793, 0.0000)
Mg (0.0000, 0.0000, 0.5000)

[8]
# Li4Ca2MgSi2N6
Computed X-ray powder pattern, copper Kα. Input: a DFT-relaxed cell (PBE, Alexandria).

Largest 10 diffraction maxima, in order of rising 2θ, 2θ = 5–70°:
22.72°, 3.914 Å, I 49; 24.03°, 3.704 Å, I 62; 32.98°, 2.716 Å, I 73; 34.50°, 2.600 Å, I 80; 35.49°, 2.530 Å, I 42; 35.74°, 2.513 Å, I 100; 42.37°, 2.133 Å, I 47; 46.13°, 1.968 Å, I 80; 48.50°, 1.877 Å, I 44; 54.31°, 1.689 Å, I 70

Structural model:
Lattice parameters (Å, degrees): 5.7440 5.7440 5.6515 92.57 92.57 117.80
Atoms (fractional coordinates):
Li (0.0100, 0.6679, 0.8748)
Li (0.3321, 0.9900, 0.1252)
Li (0.6679, 0.0100, 0.8748)
Li (0.9900, 0.3321, 0.1252)
Ca (0.3221, 0.6779, 0.5000)
Ca (0.6779, 0.3221, 0.5000)
Mg (0.0000, 0.0000, 0.5000)
Si (0.3218, 0.3218, 0.8668)
Si (0.6782, 0.6782, 0.1332)
N (0.0336, 0.3223, 0.7514)
N (0.3223, 0.0336, 0.7514)
N (0.3785, 0.3785, 0.1867)
N (0.6215, 0.6215, 0.8133)
N (0.6777, 0.9664, 0.2486)
N (0.9664, 0.6777, 0.2486)